1.
Simulated X-ray powder pattern
Compound: LiPa2AgN4
Radiation: λ = 1.5418 Å (Cu Kα)
Structure: a structure optimized by DFT (GGA-PBE)
Kinematic intensities with the Lorentz-polarization factor, no thermal factor.

Top 10 peaks for 2θ from 15° to 90°, low angle first:
| (hkl) | two_theta | Rel. int. |
| --- | --- | --- |
| 0 2 0 | 20.47 | 46.2 |
| 2 0 0 | 25.20 | 39.9 |
| 2 2 0 | 32.67 | 100.0 |
| 2 0 2 | 35.93 | 61.0 |
| 0 4 0 | 41.60 | 18.9 |
| 2 2 2 | 41.71 | 26.4 |
| 4 0 0 | 51.72 | 22.4 |
| 2 4 2 | 56.12 | 31.7 |
| 4 2 2 | 62.54 | 33.5 |
| 4 4 0 | 68.46 | 17.7 |

Cell and atoms:
```
data_LiPa2AgN4
_chemical_formula_sum 'Li4 Pa8 Ag4 N16'
_cell_length_a 7.069
_cell_length_b 8.684
_cell_length_c 7.068
_cell_angle_alpha 90.00
_cell_angle_beta 90.00
_cell_angle_gamma 90.00
_space_group_name_H-M_alt 'F m m 2'
_space_group_IT_number 42
_space_group_name_Hall 'F 2 -2'
loop_
_atom_site_label
_atom_site_type_symbol
_atom_site_fract_x
_atom_site_fract_y
_atom_site_fract_z
_atom_site_occupancy
Li1 Li 0.000 0.000 0.000 1
Pa1 Pa 0.250 0.250 0.257 1
Ag1 Ag 0.000 0.000 0.506 1
N1 N 0.000 0.239 0.006 1
N2 N 0.248 0.000 0.759 1
```

***

2.
Simulated X-ray powder pattern
Compound: NiMo2Ir9
Radiation: λ = 1.5418 Å (Cu Kα)
Structure: a structure optimized by DFT (GGA-PBE)
Kinematic intensities with the Lorentz-polarization factor, no thermal factor.

Top 10 peaks for 2θ from 15° to 90°, low angle first:
| (hkl) | two_theta | Rel. int. |
| --- | --- | --- |
| 2 -1 1 | 40.35 | 100.0 |
| -1 2 1 | 40.47 | 33.0 |
| 2 0 -2 | 46.87 | 21.8 |
| 1 1 2 | 47.02 | 43.0 |
| 3 1 0 | 68.47 | 14.1 |
| -1 1 4 | 68.65 | 20.9 |
| 2 1 -5 | 82.57 | 8.6 |
| -3 2 3 | 82.73 | 21.1 |
| 0 3 3 | 82.93 | 8.5 |
| 4 -2 2 | 87.22 | 11.3 |

Cell and atoms:
```
data_NiMo2Ir9
_chemical_formula_sum 'Ni1 Mo2 Ir9'
_cell_length_a 4.744
_cell_length_b 6.106
_cell_length_c 6.706
_cell_angle_alpha 111.50
_cell_angle_beta 90.13
_cell_angle_gamma 104.77
_space_group_name_H-M_alt 'P -1'
_space_group_IT_number 2
_space_group_name_Hall '-P 1'
loop_
_atom_site_label
_atom_site_type_symbol
_atom_site_fract_x
_atom_site_fract_y
_atom_site_fract_z
_atom_site_occupancy
Ni1 Ni 0.000 0.000 0.000 1
Mo1 Mo 0.087 0.764 0.592 1
Ir1 Ir 0.164 0.495 0.170 1
Ir2 Ir 0.246 0.253 0.746 1
Ir3 Ir 0.330 0.996 0.331 1
Ir4 Ir 0.411 0.754 0.916 1
Ir5 Ir 0.500 0.500 0.500 1
```